Theoretical powder XRD pattern of Ba3VTe2O9 for Cu Kα (λ = 1.5418 Å), from a cell relaxed with PBE+U.
Kinematic intensities with the Lorentz-polarization factor, no thermal factor.

Structural model:
```
Ba3VTe2O9
1.0
5.9495 0.0000 0.0000
-2.9748 5.1524 0.0000
0.0000 0.0000 7.3376
Ba V Te O
3 1 2 9
direct
0.0000 0.0000 0.0000 Ba
0.3333 0.6667 0.6665 Ba
0.6667 0.3333 0.3335 Ba
0.0000 0.0000 0.5000 V
0.3333 0.6667 0.1789 Te
0.6667 0.3333 0.8211 Te
0.0000 0.5000 0.0000 O
0.1668 0.3336 0.3371 O
0.1668 0.8332 0.3371 O
0.3336 0.1668 0.6629 O
0.5000 0.0000 0.0000 O
0.5000 0.5000 0.0000 O
0.6664 0.8332 0.3371 O
0.8332 0.1668 0.6629 O
0.8332 0.6664 0.6629 O
```

Peak list (8 most intense, 10 to 80 degrees two-theta, sorted by position)
- 29.90 deg, I 100, hkl 0 1 2
- 30.04 deg, I 99, hkl 1 1 0
- 42.90 deg, I 62, hkl 2 0 2
- 52.99 deg, I 20, hkl 1 0 4
- 53.28 deg, I 60, hkl 3 0 0
- 62.12 deg, I 19, hkl 0 2 4
- 62.44 deg, I 19, hkl 2 2 0
- 70.53 deg, I 18, hkl 2 1 4